(1)
The following is a simulated X-ray powder pattern of Tl3Ag3Br8. It was derived from a structure optimized by DFT (PBE), using Cu Kα X-rays.
Kinematic intensities with the Lorentz-polarization factor, no thermal factor.

Lattice parameters (Å, degrees): 8.862 8.862 8.862 58.40 58.40 58.40
Atoms (fractional coordinates):
Tl 0.000 0.500 0.500
Tl 0.500 0.000 0.500
Tl 0.500 0.500 0.000
Ag 0.123 0.123 0.123
Ag 0.500 0.500 0.500
Ag 0.877 0.877 0.877
Br 0.245 0.245 0.245
Br 0.255 0.737 0.737
Br 0.263 0.263 0.745
Br 0.263 0.745 0.263
Br 0.737 0.255 0.737
Br 0.737 0.737 0.255
Br 0.745 0.263 0.263
Br 0.755 0.755 0.755

Most intense lines, 10° ≤ 2θ ≤ 90°, by angle:
2θ 23.48, I 29
2θ 23.90, I 52
2θ 24.11, I 55
2θ 28.86, I 100
2θ 37.81, I 22
2θ 40.75, I 74
2θ 41.79, I 72
2θ 51.58, I 20
2θ 59.79, I 23
2θ 75.60, I 23

=====

(2)
The following is a simulated X-ray powder pattern of TlAg4Br6. It was derived from a structure optimized by DFT (PBE), using Cu Kα X-rays.
Kinematic intensities with the Lorentz-polarization factor, no thermal factor.

Lattice parameters (Å, degrees): 5.910 5.960 9.165 90.00 108.81 90.00
Atoms (fractional coordinates):
Tl 0.000 0.000 0.000
Ag 0.165 0.500 0.331
Ag 0.338 0.000 0.675
Ag 0.662 0.000 0.325
Ag 0.835 0.500 0.669
Br 0.000 0.500 0.000
Br 0.176 0.000 0.351
Br 0.327 0.500 0.655
Br 0.500 0.000 0.000
Br 0.673 0.500 0.345
Br 0.824 0.000 0.649

Most intense lines, 10° ≤ 2θ ≤ 90°, by angle:
2θ 15.84, I 25
2θ 29.98, I 100
2θ 30.24, I 98
2θ 30.92, I 90
2θ 43.11, I 73
2θ 43.61, I 68
2θ 43.80, I 67
2θ 53.99, I 72
2θ 71.21, I 31
2θ 79.26, I 24

=====

(3)
The following is a simulated X-ray powder pattern of TlAg5Br7. It was derived from a structure optimized by DFT (PBE), using Cu Kα X-rays.
Kinematic intensities with the Lorentz-polarization factor, no thermal factor.

Lattice parameters (Å, degrees): 7.285 7.285 24.085 90.05 90.05 33.95
Atoms (fractional coordinates):
Tl 0.187 0.187 0.250
Tl 0.813 0.813 0.750
Ag 0.000 0.000 0.000
Ag 0.000 0.000 0.500
Ag 0.286 0.286 0.929
Ag 0.287 0.287 0.571
Ag 0.443 0.443 0.356
Ag 0.444 0.444 0.144
Ag 0.556 0.556 0.856
Ag 0.557 0.557 0.644
Ag 0.713 0.713 0.429
Ag 0.714 0.714 0.071
Br 0.075 0.075 0.106
Br 0.075 0.075 0.394
Br 0.189 0.189 0.835
Br 0.190 0.190 0.665
Br 0.361 0.361 0.032
Br 0.361 0.361 0.468
Br 0.488 0.488 0.750
Br 0.512 0.512 0.250
Br 0.639 0.639 0.532
Br 0.639 0.639 0.968
Br 0.810 0.810 0.335
Br 0.811 0.811 0.165
Br 0.925 0.925 0.606
Br 0.925 0.925 0.894

Most intense lines, 10° ≤ 2θ ≤ 90°, by angle:
2θ 22.44, I 20
2θ 24.53, I 16
2θ 28.70, I 26
2θ 28.94, I 31
2θ 29.42, I 100
2θ 30.60, I 54
2θ 40.34, I 23
2θ 42.50, I 34
2θ 43.11, I 25
2θ 43.25, I 20

=====

(4)
The following is a simulated X-ray powder pattern of TlAgBr3. It was derived from a structure optimized by DFT (PBE), using Cu Kα X-rays.
Kinematic intensities with the Lorentz-polarization factor, no thermal factor.

Lattice parameters (Å, degrees): 7.673 7.673 6.643 90.00 90.00 120.00
Atoms (fractional coordinates):
Tl 0.333 0.667 0.000
Tl 0.667 0.333 0.000
Ag 0.000 0.000 0.243
Ag 0.000 0.000 0.757
Br 0.000 0.340 0.740
Br 0.000 0.660 0.260
Br 0.340 0.000 0.740
Br 0.340 0.340 0.260
Br 0.660 0.000 0.260
Br 0.660 0.660 0.740

Most intense lines, 10° ≤ 2θ ≤ 90°, by angle:
2θ 13.33, I 31
2θ 23.18, I 26
2θ 26.84, I 100
2θ 30.08, I 41
2θ 35.76, I 22
2θ 38.32, I 28
2θ 40.74, I 56
2θ 45.27, I 23
2θ 49.46, I 24
2θ 70.92, I 27

=====

(5)
The following is a simulated X-ray powder pattern of Tl2AgBr5. It was derived from a structure optimized by DFT (PBE), using Cu Kα X-rays.
Kinematic intensities with the Lorentz-polarization factor, no thermal factor.

Lattice parameters (Å, degrees): 7.672 7.672 14.469 90.00 90.00 136.41
Atoms (fractional coordinates):
Tl 0.132 0.868 0.571
Tl 0.132 0.868 0.929
Tl 0.868 0.132 0.071
Tl 0.868 0.132 0.429
Ag 0.220 0.780 0.250
Ag 0.780 0.220 0.750
Br 0.065 0.935 0.124
Br 0.065 0.935 0.376
Br 0.256 0.744 0.750
Br 0.333 0.667 0.081
Br 0.333 0.667 0.419
Br 0.667 0.333 0.581
Br 0.667 0.333 0.919
Br 0.744 0.256 0.250
Br 0.935 0.065 0.624
Br 0.935 0.065 0.876

Most intense lines, 10° ≤ 2θ ≤ 90°, by angle:
2θ 12.43, I 28
2θ 16.76, I 100
2θ 22.26, I 98
2θ 27.92, I 47
2θ 31.22, I 30
2θ 31.41, I 73
2θ 33.42, I 26
2θ 37.29, I 28
2θ 38.83, I 47
2θ 42.52, I 30

=====

(6)
The following is a simulated X-ray powder pattern of TlAgBr4. It was derived from a structure optimized by DFT (PBE), using Cu Kα X-rays.
Kinematic intensities with the Lorentz-polarization factor, no thermal factor.

Lattice parameters (Å, degrees): 7.377 7.377 7.377 129.32 129.32 74.50
Atoms (fractional coordinates):
Tl 0.000 0.000 0.000
Ag 0.250 0.750 0.500
Br 0.104 0.620 0.982
Br 0.380 0.362 0.484
Br 0.638 0.122 0.018
Br 0.878 0.896 0.516

Most intense lines, 10° ≤ 2θ ≤ 90°, by angle:
2θ 15.93, I 75
2θ 25.05, I 100
2θ 26.79, I 21
2θ 32.61, I 26
2θ 39.34, I 17
2θ 40.40, I 27
2θ 42.02, I 49
2θ 48.13, I 33
2θ 50.94, I 14
2θ 74.57, I 17

=====

(7)
The following is a simulated X-ray powder pattern of Tl4AgBr6. It was derived from a structure optimized by DFT (PBE), using Cu Kα X-rays.
Kinematic intensities with the Lorentz-polarization factor, no thermal factor.

Lattice parameters (Å, degrees): 9.001 9.001 8.984 90.00 90.00 90.00
Atoms (fractional coordinates):
Tl 0.155 0.345 0.250
Tl 0.155 0.345 0.750
Tl 0.345 0.845 0.250
Tl 0.345 0.845 0.750
Tl 0.655 0.155 0.250
Tl 0.655 0.155 0.750
Tl 0.845 0.655 0.250
Tl 0.845 0.655 0.750
Ag 0.000 0.000 0.000
Ag 0.500 0.500 0.500
Br 0.000 0.000 0.290
Br 0.000 0.000 0.710
Br 0.130 0.696 0.000
Br 0.196 0.630 0.500
Br 0.304 0.130 0.000
Br 0.370 0.196 0.500
Br 0.500 0.500 0.210
Br 0.500 0.500 0.790
Br 0.630 0.804 0.500
Br 0.696 0.870 0.000
Br 0.804 0.370 0.500
Br 0.870 0.304 0.000

Most intense lines, 10° ≤ 2θ ≤ 90°, by angle:
2θ 19.76, I 14
2θ 22.08, I 21
2θ 29.80, I 100
2θ 31.43, I 50
2θ 40.13, I 17
2θ 45.06, I 14
2θ 46.25, I 22
2θ 51.85, I 22
2θ 58.97, I 17
2θ 61.87, I 13

=====

(8)
The following is a simulated X-ray powder pattern of Tl3Ag4Br9. It was derived from a structure optimized by DFT (PBE), using Cu Kα X-rays.
Kinematic intensities with the Lorentz-polarization factor, no thermal factor.

Lattice parameters (Å, degrees): 11.152 11.152 11.152 39.60 39.60 39.60
Atoms (fractional coordinates):
Tl 0.000 0.000 0.000
Tl 0.169 0.169 0.169
Tl 0.603 0.603 0.603
Ag 0.304 0.304 0.304
Ag 0.420 0.420 0.420
Ag 0.751 0.751 0.751
Ag 0.863 0.863 0.863
Br 0.021 0.573 0.479
Br 0.033 0.134 0.586
Br 0.134 0.586 0.033
Br 0.144 0.695 0.591
Br 0.479 0.021 0.573
Br 0.573 0.479 0.021
Br 0.586 0.033 0.134
Br 0.591 0.144 0.695
Br 0.695 0.591 0.144

Most intense lines, 10° ≤ 2θ ≤ 90°, by angle:
2θ 23.55, I 80
2θ 24.38, I 47
2θ 27.88, I 31
2θ 30.95, I 41
2θ 34.16, I 100
2θ 35.40, I 41
2θ 41.40, I 30
2θ 41.91, I 25
2θ 42.57, I 22
2θ 48.17, I 44